Structure and theoretical X-ray powder pattern of Sm2Y3Er9 (the PBE geometry in Alexandria; CuKα).
Lines closer than 0.1° are merged.

Crystal structure
Cell lengths 5.3886, 8.3118, 10.5311 Å; angles 96.98, 100.65, 98.50 degrees
Space group P-1 (No. 2)
One atom of each set of equivalent atoms:
Sm 0.0164 0.4801 0.2418 [2 per cell]
Y 0.2086 0.0950 0.3336 [2 per cell]
Y 0.5000 0.5000 0.0000 [1 per cell]
Er 0.0183 0.8109 0.0650 [2 per cell]
Er 0.1739 0.7843 0.5116 [2 per cell]
Er 0.3909 0.1954 0.7005 [2 per cell]
Er 0.4096 0.8697 0.8633 [2 per cell]
Er 0.5000 0.5000 0.5000 [1 per cell]

The 8 most intense peaks (2θ from 5° to 70°), in order of rising 2θ:
29.9 deg, rel. 20; 30.7 deg, rel. 27; 31.0 deg, rel. 46; 31.2 deg, rel. 100; 33.1 deg, rel. 35; 33.7 deg, rel. 21; 35.1 deg, rel. 23; 53.1 deg, rel. 20